Calculated PXRD pattern
Compound: Cd2InSe
Radiation: Cu Kα (λ = 1.5418 Å)
Structure: a crystal structure in Alexandria, relaxed with GGA-PBE

Structural model:
Lattice parameters (Å, degrees): 5.822 11.766 4.019 90.00 132.57 90.00
Space group C2/m (No. 12)
Inequivalent atoms, fractional coordinates:
Cd (0.250, 0.250, 0.000) (multiplicity 4)
In (0.000, 0.000, 0.500) (multiplicity 2)
Se (0.000, 0.500, 0.500) (multiplicity 2)

Top 10 peaks for 2θ = 5–70°, sorted by position:
(0 4 0), 2θ = 30.39°, intensity 67.1
(2 0 -1), 2θ = 30.78°, intensity 64.8
(0 2 1), 2θ = 33.91°, intensity 100.0
(2 4 -1), 2θ = 43.80°, intensity 48.6
(2 2 0), 2θ = 45.01°, intensity 44.5
(2 2 -2), 2θ = 47.85°, intensity 37.0
(0 6 1), 2θ = 56.27°, intensity 22.3
(0 0 2), 2θ = 62.79°, intensity 8.0
(2 6 0), 2θ = 64.39°, intensity 14.8
(2 6 -2), 2θ = 66.65°, intensity 13.2